No. 1
Simulated powder XRD pattern of BiHPd4Pb for Cu Ka, from a structure optimized by DFT (GGA-PBE).

Lattice parameters (Å, degrees): 5.7662 14.4137 5.7581 90.00 90.00 90.00
Space group Cmcm (No. 63)
Unique sites:
Bi 0.0000 0.0870 0.2500 [4 per cell]
H 0.0000 0.2495 0.7500 [4 per cell]
Pd 0.0000 0.1106 0.7500 [4 per cell]
Pd 0.0000 0.3895 0.7500 [4 per cell]
Pd 0.2500 0.2500 0.0000 [8 per cell]
Pb 0.0000 0.4128 0.2500 [4 per cell]

Peak list (10 most intense, 10 to 80 degrees two-theta, low angle first)
| 2θ (°) | intensity | (hkl) |
| --- | --- | --- |
| 28.73 | 27 | 1 3 1 |
| 31.04 | 39 | 2 0 0 |
| 33.50 | 74 | 2 2 0 |
| 37.44 | 38 | 0 6 0 |
| 40.07 | 100 | 2 4 0 |
| 44.47 | 62 | 2 0 2 |
| 59.49 | 40 | 2 6 2 |
| 73.47 | 25 | 2 10 0 |
| 77.22 | 19 | 4 6 0 |
| 78.90 | 28 | 4 4 2 |

---

No. 2
Simulated powder XRD pattern of BiH6Rh2Pb for Cu Ka, from a structure optimized by DFT (GGA-PBE).

Lattice parameters (Å, degrees): 7.0126 11.9949 5.8376 90.00 93.62 90.00
Space group C2/c (No. 15)
Unique sites:
Bi 0.0000 0.1093 0.2500 [4 per cell]
H 0.1141 0.1035 0.6535 [8 per cell]
H 0.1418 0.3324 0.3794 [8 per cell]
H 0.1817 0.4269 0.1032 [8 per cell]
Rh 0.1949 0.4643 0.3803 [8 per cell]
Pb 0.0000 0.3263 0.7500 [4 per cell]

Peak list (10 most intense, 10 to 80 degrees two-theta, low angle first)
| 2θ (°) | intensity | (hkl) |
| --- | --- | --- |
| 21.26 | 100 | 0 2 1 |
| 29.54 | 81 | 1 3 -1 |
| 30.69 | 37 | 0 0 2 |
| 32.62 | 57 | 2 2 -1 |
| 34.16 | 78 | 2 2 1 |
| 38.96 | 38 | 2 0 -2 |
| 39.58 | 31 | 2 4 0 |
| 39.72 | 33 | 1 5 0 |
| 49.32 | 25 | 0 2 3 |
| 57.84 | 30 | 1 7 1 |

---

No. 3
Simulated powder XRD pattern of Sc4BiHPb for Cu Ka, from a structure optimized by DFT (GGA-PBE).

Lattice parameters (Å, degrees): 6.0717 16.0073 6.0674 90.00 90.00 90.00
Space group Cmcm (No. 63)
Unique sites:
Sc 0.0000 0.0768 0.2500 [4 per cell]
Sc 0.0000 0.4219 0.2500 [4 per cell]
Sc 0.2500 0.2500 0.0000 [8 per cell]
Bi 0.0000 0.3913 0.7500 [4 per cell]
H 0.0000 0.2119 0.2500 [4 per cell]
Pb 0.0000 0.1099 0.7500 [4 per cell]

Peak list (10 most intense, 10 to 80 degrees two-theta, low angle first)
| 2θ (°) | intensity | (hkl) |
| --- | --- | --- |
| 21.44 | 72 | 1 1 1 |
| 22.21 | 37 | 0 4 0 |
| 26.66 | 69 | 1 3 1 |
| 29.43 | 62 | 2 0 0 |
| 31.53 | 30 | 2 2 0 |
| 37.18 | 100 | 2 4 0 |
| 42.11 | 49 | 2 0 2 |
| 44.91 | 36 | 1 7 1 |
| 50.54 | 27 | 3 3 1 |
| 73.71 | 27 | 4 4 2 |

---

No. 4
Simulated powder XRD pattern of Ti7BiH2Pb2 for Cu Ka, from a structure optimized by DFT (GGA-PBE).

Lattice parameters (Å, degrees): 5.8385 5.8377 11.9424 90.00 104.03 90.00
Space group C2/m (No. 12)
Unique sites:
Ti 0.0000 0.0000 0.0000 [2 per cell]
Ti 0.1563 0.2500 0.8113 [8 per cell]
Ti 0.1868 0.0000 0.3773 [4 per cell]
Bi 0.0000 0.5000 0.0000 [2 per cell]
H 0.0935 0.0000 0.1883 [4 per cell]
Pb 0.1854 0.5000 0.3738 [4 per cell]

Peak list (10 most intense, 10 to 80 degrees two-theta, low angle first)
| 2θ (°) | intensity | (hkl) |
| --- | --- | --- |
| 21.87 | 51 | 1 1 0 |
| 23.03 | 28 | 0 0 3 |
| 28.97 | 69 | 1 1 -3 |
| 30.63 | 49 | 0 2 0 |
| 34.40 | 33 | 2 0 -3 |
| 38.66 | 100 | 2 0 2 |
| 38.86 | 25 | 0 0 5 |
| 43.86 | 51 | 2 2 -1 |
| 53.42 | 27 | 3 1 -4 |
| 60.02 | 27 | 2 2 -6 |